Computed powder X-ray diffraction pattern of LuScZn2Sn2 for Cu Kα (λ = 1.5418 Å), from a cell relaxed with PBE.

Principal peaks in the range 2θ = 5–70°, by angle:
2θ/deg  d [Å]  intensity
11.92  7.421  22
26.01  3.426  21
29.34  3.044  29
33.49  2.676  100
40.46  2.230  77
42.33  2.135  7
49.03  1.858  26
53.50  1.713  26
65.41  1.427  22
69.16  1.358  24

Structure:
abc: 4.4593 4.4593 14.8429
angles: 90.00 90.00 120.00
Space group P6_3/mmc (No. 194)
Unique sites:
Lu: 0.0000 0.0000 0.2500 [2 per cell]
Sc: 0.0000 0.0000 0.0000 [2 per cell]
Zn: 0.3333 0.6667 0.1582 [4 per cell]
Sn: 0.3333 0.6667 0.6073 [4 per cell]

=====

Computed powder X-ray diffraction pattern of YLuSe3 for Cu Kα (λ = 1.5418 Å), from a cell relaxed with PBE.

Principal peaks in the range 2θ = 5–70°, by angle:
2θ/deg  d [Å]  intensity
13.33  6.644  51
25.86  3.446  27
31.20  2.867  100
31.31  2.857  50
34.10  2.630  11
44.65  2.030  55
44.78  2.024  18
44.92  2.018  36
55.65  1.652  19
65.08  1.433  12

Structure:
abc: 6.984 12.144 7.036
angles: 90.00 109.21 90.00
Space group C2 (No. 5)
Unique sites:
Y: 0.000 0.000 0.000 [2 per cell]
Y: 0.000 0.166 0.500 [2 per cell]
Lu: 0.000 0.334 0.000 [2 per cell]
Lu: 0.000 0.668 0.000 [2 per cell]
Se: 0.243 0.504 0.241 [4 per cell]
Se: 0.244 0.171 0.244 [4 per cell]
Se: 0.249 0.330 0.760 [4 per cell]

=====

Computed powder X-ray diffraction pattern of SmLuZn2Si2 for Cu Kα (λ = 1.5418 Å), from a cell relaxed with PBE.

Principal peaks in the range 2θ = 5–70°, by angle:
2θ/deg  d [Å]  intensity
22.42  3.965  4
24.81  3.588  30
25.45  3.500  4
33.69  2.661  100
43.70  2.072  37
45.76  1.983  10
50.90  1.794  4
52.75  1.735  8
56.28  1.635  23
65.13  1.432  21

Structure:
abc: 4.1432 4.1432 15.8608
angles: 90.00 90.00 120.00
Space group P6_3/mmc (No. 194)
Unique sites:
Sm: 0.0000 0.0000 0.2500 [2 per cell]
Lu: 0.0000 0.0000 0.0000 [2 per cell]
Zn: 0.3333 0.6667 0.1293 [4 per cell]
Si: 0.3333 0.6667 0.6148 [4 per cell]

=====

Number 2 is which compound?
YLuSe3